Structure and theoretical PXRD pattern of RbCaZn2F8 (a DFT-relaxed cell (PBE, Alexandria); Cu Kα, 1.54184 Å).
No peak broadening, texture or thermal motion is included.

Atomic structure:
```
data_RbCaZn2F8
_chemical_formula_sum 'Rb3 Ca3 Zn6 F24'
_space_group_name_H-M_alt 'R 3 2'
_space_group_IT_number 155
_space_group_name_Hall 'R 3 2"'
_cell_length_a 5.5167
_cell_length_b 5.5167
_cell_length_c 23.6774
_cell_angle_alpha 90.00
_cell_angle_beta 90.00
_cell_angle_gamma 120.00
loop_
_atom_site_label
_atom_site_fract_x
_atom_site_fract_y
_atom_site_fract_z
_atom_site_occupancy
Rb1 0.0000 0.0000 0.0000 1
Ca1 0.0000 0.0000 0.5000 1
Zn1 0.0000 0.0000 0.2513 1
F1 0.0000 0.0000 0.3307 1
F2 0.0011 0.3458 0.1071 1
```

Most intense lines, 2θ from 10° to 80°, in order of falling intensity:
h k l  2θ (°)  d/Å  I_rel
1 0 4  23.94  3.718  100
1 1 0  32.46  2.758  52
0 1 8  35.69  2.516  31
1 1 12  57.42  1.605  25
0 2 4  40.73  2.215  22
2 1 4  53.02  1.727  21
3 0 0  57.90  1.593  21
1 1 3  34.44  2.604  17
1 2 8  60.01  1.542  14
2 0 8  49.00  1.859  13

***

Structure and theoretical PXRD pattern of RbCaZrF7 (a DFT-relaxed cell (PBE, Alexandria); Cu Kα, 1.54184 Å).
No peak broadening, texture or thermal motion is included.

Atomic structure:
```
data_RbCaZrF7
_chemical_formula_sum 'Rb4 Ca4 Zr4 F28'
_space_group_name_H-M_alt 'C m c m'
_space_group_IT_number 63
_space_group_name_Hall '-C 2c 2'
_cell_length_a 6.981
_cell_length_b 11.345
_cell_length_c 8.655
_cell_angle_alpha 90.00
_cell_angle_beta 90.00
_cell_angle_gamma 90.00
loop_
_atom_site_label
_atom_site_fract_x
_atom_site_fract_y
_atom_site_fract_z
_atom_site_occupancy
Rb1 0.000 0.000 0.000 1
Ca1 0.000 0.310 0.250 1
Zr1 0.000 0.306 0.750 1
F1 0.000 0.298 0.513 1
F2 0.000 0.489 0.750 1
F3 0.176 0.152 0.750 1
F4 0.206 0.143 0.250 1
```

Most intense lines, 2θ from 10° to 80°, in order of falling intensity:
h k l  2θ (°)  d/Å  I_rel
2 0 0  25.49  3.495  100
1 3 0  26.81  3.325  56
0 2 2  25.90  3.441  42
0 0 4  41.74  2.164  29
1 1 1  18.10  4.901  28
3 3 0  45.79  1.982  26
1 5 2  47.06  1.931  26
3 1 2  44.95  2.017  24
0 0 2  20.52  4.328  20
2 2 2  36.68  2.450  20

***

Q: Which formula does entry 2 have?
A: RbCaZrF7